[1]
Diffraction record for Ca2B4Rh5. The X-ray diffraction stick pattern is calculated, not measured: it uses a PBE-relaxed structure and Cu Kα (weighted mean of Kα1 and Kα2).
Lines closer than 0.1° are merged.

```
data_Ca2B4Rh5
_chemical_formula_sum 'Ca8 B16 Rh20'
_cell_length_a 5.5233
_cell_length_b 9.8492
_cell_length_c 11.2857
_cell_angle_alpha 90.00
_cell_angle_beta 90.00
_cell_angle_gamma 90.00
_symmetry_space_group_name_H-M 'F m m m'
_symmetry_Int_Tables_number 69
_symmetry_space_group_name_Hall '-F 2 2'
loop_
_atom_site_label
_atom_site_fract_x
_atom_site_fract_y
_atom_site_fract_z
Ca1 0.0000 0.0000 0.1430
B1 0.0000 0.1614 0.3697
Rh1 0.0000 0.0000 0.5000
Rh2 0.2500 0.2500 0.0000
Rh3 0.2500 0.2500 0.2500
```

Peak list (10 most intense, 2θ from 10° to 90°, low angle first)
| two_theta | I_rel | h k l |
| --- | --- | --- |
| 18.01 | 552 | 0 2 0 |
| 30.14 | 285 | 1 1 3 |
| 31.71 | 383 | 0 0 4 |
| 36.49 | 524 | 0 4 0 |
| 36.71 | 420 | 0 2 4 |
| 37.33 | 1000 | 2 2 0 |
| 45.99 | 269 | 2 0 4 |
| 49.11 | 281 | 0 4 4 |
| 49.77 | 538 | 2 2 4 |
| 66.24 | 305 | 2 6 0 |



[2]
Diffraction record for CsGdO2. The X-ray diffraction stick pattern is calculated, not measured: it uses a PBE-relaxed structure and Cu Kα (weighted mean of Kα1 and Kα2).
Lines closer than 0.1° are merged.

```
data_CsGdO2
_chemical_formula_sum 'Cs2 Gd2 O4'
_cell_length_a 3.6167
_cell_length_b 3.6167
_cell_length_c 13.7897
_cell_angle_alpha 90.00
_cell_angle_beta 90.00
_cell_angle_gamma 120.00
_symmetry_space_group_name_H-M 'P 63/m m c'
_symmetry_Int_Tables_number 194
_symmetry_space_group_name_Hall '-P 6c 2c'
loop_
_atom_site_label
_atom_site_fract_x
_atom_site_fract_y
_atom_site_fract_z
Cs1 0.3333 0.6667 0.2500
Gd1 0.0000 0.0000 0.0000
O1 0.3333 0.6667 0.5833
```

Peak list (10 most intense, 2θ from 10° to 90°, low angle first)
| two_theta | I_rel | h k l |
| --- | --- | --- |
| 25.84 | 439 | 0 0 4 |
| 29.24 | 256 | 1 0 1 |
| 31.37 | 1000 | 1 0 2 |
| 34.66 | 343 | 1 0 3 |
| 49.17 | 351 | 1 0 6 |
| 50.47 | 289 | 1 1 0 |
| 57.55 | 292 | 1 1 4 |
| 60.64 | 155 | 2 0 2 |
| 76.32 | 130 | 1 1 8 |
| 82.71 | 131 | 2 1 2 |



[3]
Diffraction record for MgSc2Ti2O7. The X-ray diffraction stick pattern is calculated, not measured: it uses a PBE-relaxed structure and Cu Kα (weighted mean of Kα1 and Kα2).
Lines closer than 0.1° are merged.

```
data_MgSc2Ti2O7
_chemical_formula_sum 'Mg1 Sc2 Ti2 O7'
_cell_length_a 5.3791
_cell_length_b 5.6290
_cell_length_c 5.6291
_cell_angle_alpha 114.33
_cell_angle_beta 96.40
_cell_angle_gamma 96.32
_symmetry_space_group_name_H-M 'P 1'
_symmetry_Int_Tables_number 1
loop_
_symmetry_equiv_pos_as_xyz
'x,y,z'
loop_
_atom_site_label
_atom_site_fract_x
_atom_site_fract_y
_atom_site_fract_z
Mg1 0.0000 0.0000 0.0000
Sc1 0.5001 0.5280 0.4739
Sc2 0.5004 0.8795 0.1226
Ti1 0.1114 0.9393 0.5113
Ti2 0.8892 0.4903 0.0635
O1 0.0004 0.2100 0.7922
O2 0.2490 0.6218 0.2246
O3 0.2692 0.1480 0.3418
O4 0.2699 0.8085 0.7612
O5 0.7308 0.2402 0.1936
O6 0.7310 0.6593 0.8541
O7 0.7517 0.7772 0.3810
```

Peak list (10 most intense, 2θ from 10° to 90°, low angle first)
| two_theta | I_rel | h k l |
| --- | --- | --- |
| 17.55 | 692 | 0 1 0 |
| 25.31 | 1000 | 1 -1 1 |
| 26.48 | 819 | 1 1 0 |
| 31.26 | 283 | -1 1 1 |
| 35.58 | 331 | 0 2 0 |
| 40.79 | 284 | -2 1 1 |
| 46.32 | 438 | -1 1 2 |
| 49.85 | 394 | 2 2 -1 |
| 54.51 | 281 | 2 2 0 |
| 58.58 | 372 | 0 3 -3 |



[4]
Diffraction record for Er3Al3CoGe2. The X-ray diffraction stick pattern is calculated, not measured: it uses a PBE-relaxed structure and Cu Kα (weighted mean of Kα1 and Kα2).
Lines closer than 0.1° are merged.

```
data_Er3Al3CoGe2
_chemical_formula_sum 'Er3 Al3 Co1 Ge2'
_cell_length_a 6.8932
_cell_length_b 6.8932
_cell_length_c 4.1513
_cell_angle_alpha 90.00
_cell_angle_beta 90.00
_cell_angle_gamma 120.00
_symmetry_space_group_name_H-M 'P -6 2 m'
_symmetry_Int_Tables_number 189
_symmetry_space_group_name_Hall 'P -6 -2'
loop_
_atom_site_label
_atom_site_fract_x
_atom_site_fract_y
_atom_site_fract_z
Er1 0.0000 0.5965 0.0000
Al1 0.0000 0.2271 0.5000
Co1 0.0000 0.0000 0.0000
Ge1 0.3333 0.6667 0.5000
```

Peak list (10 most intense, 2θ from 10° to 90°, low angle first)
| two_theta | I_rel | h k l |
| --- | --- | --- |
| 21.40 | 234 | 0 0 1 |
| 25.85 | 377 | 1 1 0 |
| 29.94 | 175 | 2 0 0 |
| 33.80 | 1000 | 1 1 1 |
| 37.10 | 660 | 2 0 1 |
| 39.96 | 233 | 2 1 0 |
| 43.61 | 221 | 0 0 2 |
| 45.59 | 200 | 3 0 0 |
| 55.50 | 178 | 3 1 0 |
| 60.17 | 256 | 3 1 1 |



[5]
Diffraction record for Nd5P12Ru19. The X-ray diffraction stick pattern is calculated, not measured: it uses a PBE-relaxed structure and Cu Kα (weighted mean of Kα1 and Kα2).
Lines closer than 0.1° are merged.

```
data_Nd5P12Ru19
_chemical_formula_sum 'Nd5 P12 Ru19'
_cell_length_a 12.6269
_cell_length_b 12.6269
_cell_length_c 4.0142
_cell_angle_alpha 90.00
_cell_angle_beta 90.00
_cell_angle_gamma 120.00
_symmetry_space_group_name_H-M 'P -6 2 m'
_symmetry_Int_Tables_number 189
_symmetry_space_group_name_Hall 'P -6 -2'
loop_
_atom_site_label
_atom_site_fract_x
_atom_site_fract_y
_atom_site_fract_z
Nd1 0.0000 0.1843 0.0000
Nd2 0.3333 0.6667 0.5000
P1 0.0000 0.3743 0.5000
P2 0.0000 0.8133 0.5000
P3 0.1699 0.6936 0.0000
Ru1 0.0000 0.0000 0.5000
Ru2 0.0000 0.5548 0.5000
Ru3 0.0000 0.7156 0.0000
Ru4 0.1248 0.4906 0.0000
Ru5 0.1842 0.8063 0.5000
```

Peak list (10 most intense, 2θ from 10° to 90°, low angle first)
| two_theta | I_rel | h k l |
| --- | --- | --- |
| 28.27 | 163 | 2 2 0 |
| 36.20 | 1000 | 2 2 1 |
| 37.15 | 252 | 3 1 1 |
| 37.70 | 117 | 4 1 0 |
| 45.18 | 237 | 0 0 2 |
| 46.22 | 90 | 5 1 0 |
| 47.33 | 81 | 5 0 1 |
| 50.05 | 138 | 6 0 0 |
| 69.69 | 101 | 6 0 2 |
| 77.47 | 131 | 2 2 3 |



[6]
Diffraction record for Sr2CuF6. The X-ray diffraction stick pattern is calculated, not measured: it uses a PBE-relaxed structure and Cu Kα (weighted mean of Kα1 and Kα2).
Lines closer than 0.1° are merged.

```
data_Sr2CuF6
_chemical_formula_sum 'Sr8 Cu4 F24'
_cell_length_a 16.5878
_cell_length_b 5.8062
_cell_length_c 5.8049
_cell_angle_alpha 90.00
_cell_angle_beta 90.00
_cell_angle_gamma 90.00
_symmetry_space_group_name_H-M 'C m c e'
_symmetry_Int_Tables_number 64
_symmetry_space_group_name_Hall '-C 2ac 2'
loop_
_atom_site_label
_atom_site_fract_x
_atom_site_fract_y
_atom_site_fract_z
Sr1 0.1617 0.0000 0.0000
Cu1 0.0000 0.0000 0.5000
F1 0.0809 0.1660 0.3330
F2 0.2500 0.2450 0.7500
```

Peak list (10 most intense, 2θ from 10° to 90°, low angle first)
| two_theta | I_rel | h k l |
| --- | --- | --- |
| 27.05 | 1000 | 3 1 1 |
| 30.80 | 161 | 0 2 0 |
| 44.12 | 216 | 0 2 2 |
| 45.30 | 400 | 6 0 2 |
| 52.52 | 301 | 3 3 1 |
| 54.58 | 126 | 9 1 1 |
| 55.78 | 77 | 6 2 2 |
| 72.70 | 111 | 9 3 1 |
| 82.00 | 90 | 6 2 4 |
| 87.47 | 71 | 3 5 1 |